For Ba7Fe6CuF34, a DFT-relaxed cell (PBE+U, Alexandria) gives the calculated X-ray diffraction stick pattern in this record (copper Kα).

Main lines, in order of rising 2θ (2θ = 5–70°):
3.897 Å, 2θ 22.82, intensity 52
3.697 Å, 2θ 24.07, intensity 38
3.405 Å, 2θ 26.17, intensity 100
3.319 Å, 2θ 26.86, intensity 44
3.188 Å, 2θ 27.99, intensity 78
3.167 Å, 2θ 28.17, intensity 40

Atomic structure:
```
Ba7Fe6CuF34
1.0
8.599 -5.793 0.000
8.599 5.793 0.000
-1.592 0.000 7.640
Ba Fe Cu F
7 6 1 34
Direct
0.000 0.000 0.000
0.159 0.558 0.700
0.264 0.264 0.128
0.442 0.841 0.300
0.558 0.159 0.700
0.736 0.736 0.872
0.841 0.442 0.300
0.134 0.647 0.200
0.172 0.172 0.541
0.353 0.866 0.800
0.647 0.134 0.200
0.828 0.828 0.459
0.866 0.353 0.800
0.500 0.500 0.500
0.004 0.264 0.994
0.015 0.770 0.386
0.041 0.517 0.197
0.110 0.110 0.306
0.119 0.355 0.455
0.208 0.792 0.201
0.208 0.792 0.799
0.230 0.985 0.614
0.248 0.513 0.030
0.253 0.253 0.760
0.264 0.004 0.994
0.276 0.553 0.388
0.355 0.119 0.455
0.440 0.440 0.676
0.447 0.724 0.612
0.483 0.959 0.803
0.487 0.752 0.970
0.513 0.248 0.030
0.517 0.041 0.197
0.553 0.276 0.388
0.560 0.560 0.324
0.645 0.881 0.545
0.724 0.447 0.612
0.736 0.996 0.006
0.747 0.747 0.240
0.752 0.487 0.970
0.770 0.015 0.386
0.792 0.208 0.201
0.792 0.208 0.799
0.881 0.645 0.545
0.890 0.890 0.694
0.959 0.483 0.803
0.985 0.230 0.614
0.996 0.736 0.006
```